(1)
Theoretical powder diffractogram of RbCaSbO3 for λ = 1.5418 Å (Cu Kα), from a structure optimized by DFT (GGA-PBE).

Atomic structure:
```
RbCaSbO3
1.0
6.7699 0.0000 0.0000
0.0000 3.5488 0.0000
-1.5727 0.0000 9.9120
Rb Ca Sb O
2 2 2 6
Direct
0.0460 0.2500 0.1601 Rb
0.9540 0.7500 0.8399 Rb
0.4621 0.7500 0.8655 Ca
0.5379 0.2500 0.1345 Ca
0.2863 0.2500 0.5516 Sb
0.7137 0.7500 0.4484 Sb
0.2464 0.2500 0.7379 O
0.3292 0.7500 0.0615 O
0.4561 0.7500 0.5878 O
0.5439 0.2500 0.4122 O
0.6708 0.2500 0.9385 O
0.7536 0.7500 0.2621 O
```

Main lines, in order of rising 2θ (10 to 90 degrees two-theta):
2θ 17.12, I = 49
2θ 23.97, I = 79
2θ 26.77, I = 100
2θ 26.99, I = 65
2θ 28.47, I = 61
2θ 29.24, I = 85
2θ 30.99, I = 83
2θ 39.11, I = 91
2θ 41.84, I = 39
2θ 52.90, I = 42

=====

(2)
Theoretical powder diffractogram of HfCoSi for λ = 1.5418 Å (Cu Kα), from a structure optimized by DFT (GGA-PBE).

Atomic structure:
```
HfCoSi
1.0
3.5282 0.0000 0.0000
0.0000 9.5915 0.0000
0.0000 0.0000 5.1406
Hf Co Si
4 4 4
Direct
0.0000 0.2009 0.2500 Hf
0.0000 0.7991 0.7500 Hf
0.5000 0.2991 0.7500 Hf
0.5000 0.7009 0.2500 Hf
0.0000 0.5000 0.0000 Co
0.0000 0.5000 0.5000 Co
0.5000 0.0000 0.0000 Co
0.5000 0.0000 0.5000 Co
0.0000 0.0856 0.7500 Si
0.0000 0.9144 0.2500 Si
0.5000 0.4144 0.2500 Si
0.5000 0.5856 0.7500 Si
```

Main lines, in order of rising 2θ (10 to 90 degrees two-theta):
2θ 25.40, I = 22
2θ 32.15, I = 100
2θ 37.98, I = 57
2θ 39.79, I = 44
2θ 41.56, I = 38
2θ 41.99, I = 37
2θ 44.63, I = 34
2θ 51.83, I = 20
2θ 66.32, I = 24
2θ 67.27, I = 18

=====

(3)
Theoretical powder diffractogram of Pm5Sm3Er2 for λ = 1.5418 Å (Cu Kα), from a structure optimized by DFT (GGA-PBE).

Atomic structure:
```
Pm5Sm3Er2
1.0
5.3945 -7.4927 0.0000
5.3945 7.4927 0.0000
-5.3790 0.0000 8.4091
Pm Sm Er
10 6 4
Direct
0.0206 0.9794 0.7500 Pm
0.1346 0.3837 0.7636 Pm
0.2723 0.7277 0.2500 Pm
0.3837 0.1346 0.2636 Pm
0.4770 0.5230 0.2500 Pm
0.5230 0.4770 0.7500 Pm
0.6163 0.8654 0.7364 Pm
0.7277 0.2723 0.7500 Pm
0.8654 0.6163 0.2364 Pm
0.9794 0.0206 0.2500 Pm
0.0234 0.2749 0.0551 Sm
0.2292 0.7708 0.7500 Sm
0.2749 0.0234 0.5551 Sm
0.7251 0.9766 0.4449 Sm
0.7708 0.2292 0.2500 Sm
0.9766 0.7251 0.9449 Sm
0.2188 0.4687 0.4452 Er
0.4687 0.2188 0.9452 Er
0.5313 0.7812 0.0548 Er
0.7812 0.5313 0.5548 Er
```

Main lines, in order of rising 2θ (10 to 90 degrees two-theta):
2θ 29.45, I = 97
2θ 30.95, I = 100
2θ 32.00, I = 22
2θ 33.22, I = 47
2θ 36.11, I = 23
2θ 48.84, I = 22
2θ 57.93, I = 17
2θ 60.34, I = 23
2θ 62.99, I = 27
2θ 68.74, I = 18

=====

(4)
Theoretical powder diffractogram of Hf2InNi2 for λ = 1.5418 Å (Cu Kα), from a structure optimized by DFT (GGA-PBE).

Atomic structure:
```
Hf2InNi2
1.0
7.1684 0.0000 0.0000
0.0000 7.1684 0.0000
0.0000 0.0000 6.6236
Hf In Ni
8 4 8
Direct
0.1562 0.1562 0.0000 Hf
0.1757 0.1757 0.5000 Hf
0.3243 0.6757 0.0000 Hf
0.3438 0.6562 0.5000 Hf
0.6562 0.3438 0.5000 Hf
0.6757 0.3243 0.0000 Hf
0.8243 0.8243 0.5000 Hf
0.8438 0.8438 0.0000 Hf
0.0000 0.5000 0.2500 In
0.0000 0.5000 0.7500 In
0.5000 0.0000 0.2500 In
0.5000 0.0000 0.7500 In
0.1258 0.8742 0.2748 Ni
0.1258 0.8742 0.7252 Ni
0.3742 0.3742 0.2252 Ni
0.3742 0.3742 0.7748 Ni
0.6258 0.6258 0.2252 Ni
0.6258 0.6258 0.7748 Ni
0.8742 0.1258 0.2748 Ni
0.8742 0.1258 0.7252 Ni
```

Main lines, in order of rising 2θ (10 to 90 degrees two-theta):
2θ 27.83, I = 28
2θ 32.29, I = 14
2θ 36.96, I = 40
2θ 39.11, I = 100
2θ 39.76, I = 50
2θ 55.49, I = 12
2θ 60.11, I = 15
2θ 61.63, I = 17
2θ 70.42, I = 17
2θ 77.24, I = 13

=====

(5)
Theoretical powder diffractogram of OsAu for λ = 1.5418 Å (Cu Kα), from a structure optimized by DFT (GGA-PBE).

Atomic structure:
```
OsAu
1.0
2.8272 0.0000 0.0000
0.0000 2.8272 0.0000
0.0000 0.0000 8.1865
Os Au
2 2
Direct
0.2500 0.2500 0.0992 Os
0.7500 0.7500 0.9008 Os
0.2500 0.2500 0.6377 Au
0.7500 0.7500 0.3623 Au
```

Main lines, in order of rising 2θ (10 to 90 degrees two-theta):
2θ 32.82, I = 4
2θ 38.71, I = 100
2θ 44.26, I = 14
2θ 45.37, I = 34
2θ 65.24, I = 18
2θ 65.93, I = 5
2θ 66.10, I = 11
2θ 77.71, I = 8
2θ 79.31, I = 26
2θ 83.03, I = 10

=====

(6)
Theoretical powder diffractogram of Ba4DyCu3O9 for λ = 1.5418 Å (Cu Kα), from a structure optimized by DFT (GGA-PBE).

Atomic structure:
```
Ba4DyCu3O9
1.0
8.1611 0.0000 0.0000
0.0000 8.1611 0.0000
0.0000 0.0000 8.1611
Ba Dy Cu O
8 2 6 18
Direct
0.2500 0.2500 0.2500 Ba
0.2500 0.2500 0.7500 Ba
0.2500 0.7500 0.2500 Ba
0.2500 0.7500 0.7500 Ba
0.7500 0.2500 0.2500 Ba
0.7500 0.2500 0.7500 Ba
0.7500 0.7500 0.2500 Ba
0.7500 0.7500 0.7500 Ba
0.0000 0.0000 0.0000 Dy
0.5000 0.5000 0.5000 Dy
0.0000 0.0000 0.5000 Cu
0.0000 0.5000 0.0000 Cu
0.0000 0.5000 0.5000 Cu
0.5000 0.0000 0.0000 Cu
0.5000 0.0000 0.5000 Cu
0.5000 0.5000 0.0000 Cu
0.0000 0.0000 0.2730 O
0.0000 0.0000 0.7270 O
0.0000 0.2500 0.5000 O
0.0000 0.2730 0.0000 O
0.0000 0.7270 0.0000 O
0.0000 0.7500 0.5000 O
0.2270 0.5000 0.5000 O
0.2500 0.5000 0.0000 O
0.2730 0.0000 0.0000 O
0.5000 0.0000 0.2500 O
0.5000 0.0000 0.7500 O
0.5000 0.2270 0.5000 O
0.5000 0.5000 0.2270 O
0.5000 0.5000 0.7730 O
0.5000 0.7730 0.5000 O
0.7270 0.0000 0.0000 O
0.7500 0.5000 0.0000 O
0.7730 0.5000 0.5000 O
```

Main lines, in order of rising 2θ (10 to 90 degrees two-theta):
2θ 15.35, I = 7
2θ 30.99, I = 100
2θ 34.76, I = 3
2θ 38.20, I = 5
2θ 44.40, I = 27
2θ 55.13, I = 39
2θ 64.60, I = 17
2θ 73.37, I = 17
2θ 81.76, I = 6
2θ 89.97, I = 21

=====

(7)
Theoretical powder diffractogram of Cs3AcBr8 for λ = 1.5418 Å (Cu Kα), from a structure optimized by DFT (GGA-PBE).

Atomic structure:
```
Cs3AcBr8
1.0
-4.0940 4.0940 8.4539
4.0940 -4.0940 8.4539
4.0940 4.0940 -8.4539
Cs Ac Br
3 1 8
Direct
0.0000 0.0000 0.0000 Cs
0.2500 0.7500 0.5000 Cs
0.7500 0.2500 0.5000 Cs
0.5000 0.5000 0.0000 Ac
0.1692 0.1692 0.5596 Br
0.1692 0.6096 0.0000 Br
0.3904 0.3904 0.5596 Br
0.3904 0.8308 0.0000 Br
0.6096 0.1692 0.0000 Br
0.6096 0.6096 0.4404 Br
0.8308 0.3904 0.0000 Br
0.8308 0.8308 0.4404 Br
```

Main lines, in order of rising 2θ (10 to 90 degrees two-theta):
2θ 12.01, I = 21
2θ 18.57, I = 90
2θ 30.40, I = 100
2θ 30.89, I = 48
2θ 35.43, I = 17
2θ 36.29, I = 32
2θ 44.25, I = 15
2θ 47.70, I = 17
2θ 53.70, I = 15
2θ 54.63, I = 29

=====

(8)
Theoretical powder diffractogram of CaAl2Si2O10 for λ = 1.5418 Å (Cu Kα), from a structure optimized by DFT (GGA-PBE).

Atomic structure:
```
CaAl2Si2O10
1.0
5.3048 0.0000 0.0000
0.0000 13.0169 0.0000
-2.1258 0.0000 4.9308
Ca Al Si O
2 4 4 20
Direct
0.1704 0.2500 0.3401 Ca
0.8296 0.7500 0.6599 Ca
0.0000 0.0000 0.0000 Al
0.0000 0.5000 0.0000 Al
0.5000 0.0000 0.5000 Al
0.5000 0.5000 0.5000 Al
0.4865 0.6305 0.0268 Si
0.4865 0.8695 0.0268 Si
0.5135 0.1305 0.9732 Si
0.5135 0.3695 0.9732 Si
0.1480 0.5618 0.3483 O
0.1480 0.9382 0.3483 O
0.1521 0.6168 0.9011 O
0.1521 0.8832 0.9011 O
0.1874 0.7500 0.4678 O
0.3617 0.0655 0.1386 O
0.3617 0.4345 0.1386 O
0.3800 0.1120 0.6450 O
0.3800 0.3880 0.6450 O
0.4375 0.2500 0.0304 O
0.5625 0.7500 0.9696 O
0.6200 0.6120 0.3550 O
0.6200 0.8880 0.3550 O
0.6383 0.5655 0.8614 O
0.6383 0.9345 0.8614 O
0.8126 0.2500 0.5322 O
0.8479 0.1168 0.0989 O
0.8479 0.3832 0.0989 O
0.8520 0.0618 0.6517 O
0.8520 0.4382 0.6517 O
```

Main lines, in order of rising 2θ (10 to 90 degrees two-theta):
2θ 18.21, I = 60
2θ 24.20, I = 86
2θ 32.98, I = 64
2θ 33.51, I = 61
2θ 33.99, I = 55
2θ 34.11, I = 100
2θ 36.44, I = 56
2θ 42.16, I = 60
2θ 42.57, I = 52
2θ 59.63, I = 47